(1)
Starting from a structure optimized by DFT (GGA-PBE), the powder diffraction line list of Ba2CdH6Rh was simulated for Cu Kα (weighted mean of Kα1 and Kα2).

Atomic structure:
a b c (Å): 5.816 5.816 5.246
angles (deg): 90.00 90.00 120.00
Atoms (fractional coordinates):
Ba: 0.333 0.667 0.225
Ba: 0.667 0.333 0.775
Cd: 0.000 0.000 0.500
H: 0.149 0.298 0.808
H: 0.149 0.851 0.808
H: 0.298 0.149 0.192
H: 0.702 0.851 0.808
H: 0.851 0.149 0.192
H: 0.851 0.702 0.192
Rh: 0.000 0.000 0.000

The 6 most intense peaks (10° ≤ 2θ ≤ 80°), low angle first:
| 2θ (°) | intensity |
| --- | --- |
| 24.50 | 776 |
| 30.75 | 1000 |
| 38.71 | 566 |
| 39.70 | 232 |
| 50.22 | 270 |
| 60.05 | 308 |

=====

(2)
Starting from a structure optimized by DFT (GGA-PBE), the powder diffraction line list of BaTlHg5 was simulated for Cu Kα (weighted mean of Kα1 and Kα2).

Atomic structure:
a b c (Å): 5.899 5.899 7.281
angles (deg): 90.00 90.00 114.84
Atoms (fractional coordinates):
Ba: 0.000 0.000 0.000
Tl: 0.500 0.500 0.500
Hg: 0.000 0.000 0.500
Hg: 0.000 0.500 0.266
Hg: 0.000 0.500 0.734
Hg: 0.500 0.000 0.266
Hg: 0.500 0.000 0.734

The 6 most intense peaks (10° ≤ 2θ ≤ 80°), low angle first:
| 2θ (°) | intensity |
| --- | --- |
| 12.16 | 283 |
| 30.43 | 1000 |
| 33.48 | 794 |
| 36.14 | 324 |
| 37.58 | 569 |
| 53.12 | 430 |